NdY3ErTh: simulated XRD peak list (a wavelength of 1.5418 Å), based on a structure optimized by DFT (GGA-PBE).
Intensities are scaled so that the largest is 100.

Top 12 peaks for 2θ = 10–80°, in order of falling intensity:
Position (°2θ)  I/Imax
30.5  100.0
30.6  99.0
50.9  59.4
35.3  33.9
35.4  33.5
35.5  33.0
60.5  28.6
60.6  27.8
11.7  25.1
60.8  14.4
60.4  14.2
25.5  13.7

Crystal structure
a = 8.009 Å, b = 5.085 Å, c = 10.142 Å
α = 90.00°, β = 108.81°, γ = 90.00°
Fractional positions:
Nd1 0.171 0.250 0.293
Nd2 0.829 0.750 0.707
Y1 0.171 0.750 0.544
Y2 0.176 0.750 0.044
Y3 0.177 0.250 0.793
Y4 0.823 0.750 0.207
Y5 0.824 0.250 0.956
Y6 0.829 0.250 0.456
Er1 0.499 0.250 0.628
Er2 0.501 0.750 0.372
Th1 0.499 0.750 0.878
Th2 0.501 0.250 0.122

=====

Nd6YEr2Th: simulated XRD peak list (a wavelength of 1.5418 Å), based on a structure optimized by DFT (GGA-PBE).
Intensities are scaled so that the largest is 100.

Top 12 peaks for 2θ = 10–80°, in order of falling intensity:
Position (°2θ)  I/Imax
31.1  100.0
30.9  88.4
28.2  68.3
29.7  63.8
30.2  62.9
32.1  49.9
33.4  32.8
32.8  32.1
27.5  29.0
37.7  22.7
61.7  20.4
58.1  19.9

Crystal structure
a = 8.885 Å, b = 8.885 Å, c = 9.737 Å
α = 94.06°, β = 94.06°, γ = 116.47°
Fractional positions:
Nd1 0.011 0.573 0.186
Nd2 0.109 0.762 0.558
Nd3 0.238 0.891 0.942
Nd4 0.297 0.514 0.381
Nd5 0.427 0.989 0.314
Nd6 0.486 0.703 0.119
Nd7 0.514 0.297 0.881
Nd8 0.573 0.011 0.686
Nd9 0.703 0.486 0.619
Nd10 0.762 0.109 0.058
Nd11 0.891 0.238 0.442
Nd12 0.989 0.427 0.814
Y1 0.408 0.592 0.750
Y2 0.592 0.408 0.250
Er1 0.201 0.291 0.050
Er2 0.291 0.201 0.550
Er3 0.709 0.799 0.450
Er4 0.799 0.709 0.950
Th1 0.031 0.969 0.250
Th2 0.969 0.031 0.750

=====

Nd2YEr5Th: simulated XRD peak list (a wavelength of 1.5418 Å), based on a structure optimized by DFT (GGA-PBE).
Intensities are scaled so that the largest is 100.

Top 12 peaks for 2θ = 10–80°, in order of falling intensity:
Position (°2θ)  I/Imax
31.1  100.0
29.1  54.2
28.8  41.0
52.8  25.1
32.6  20.7
43.3  18.7
37.8  14.9
56.5  12.7
47.4  10.9
59.3  10.8
40.4  9.9
46.6  9.3

Crystal structure
a = 9.832 Å, b = 9.832 Å, c = 9.832 Å
α = 127.54°, β = 127.54°, γ = 77.37°
Fractional positions:
Nd1 0.116 0.616 0.732
Nd2 0.384 0.116 0.500
Nd3 0.616 0.884 0.500
Nd4 0.884 0.384 0.268
Y1 0.250 0.750 0.500
Y2 0.750 0.250 0.500
Er1 0.000 0.000 0.000
Er2 0.074 0.147 0.500
Er3 0.147 0.647 0.072
Er4 0.353 0.426 0.500
Er5 0.426 0.926 0.072
Er6 0.500 0.500 0.000
Er7 0.574 0.074 0.928
Er8 0.647 0.574 0.500
Er9 0.853 0.353 0.928
Er10 0.926 0.853 0.500
Th1 0.250 0.250 0.000
Th2 0.750 0.750 0.000

=====

NdEr5Tl: simulated XRD peak list (a wavelength of 1.5418 Å), based on a structure optimized by DFT (GGA-PBE).
Intensities are scaled so that the largest is 100.

Top 12 peaks for 2θ = 10–80°, in order of falling intensity:
Position (°2θ)  I/Imax
31.8  100.0
15.5  95.0
31.3  92.8
40.3  69.7
18.1  67.2
40.0  66.4
27.8  62.5
39.0  60.6
22.5  57.7
23.9  48.9
61.7  38.5
34.9  29.2

Crystal structure
a = 7.618 Å, b = 7.618 Å, c = 7.618 Å
α = 117.36°, β = 82.85°, γ = 131.68°
Fractional positions:
Nd1 0.000 0.000 0.000
Er1 0.342 0.596 0.747
Er2 0.499 0.313 0.813
Er3 0.499 0.686 0.187
Er4 0.791 0.291 0.500
Er5 0.849 0.596 0.253
Tl1 0.262 0.762 0.500

=====

Nd6ErTl2: simulated XRD peak list (a wavelength of 1.5418 Å), based on a structure optimized by DFT (GGA-PBE).
Intensities are scaled so that the largest is 100.

Top 12 peaks for 2θ = 10–80°, in order of falling intensity:
Position (°2θ)  I/Imax
32.6  100.0
37.6  61.6
30.2  58.2
30.7  57.4
30.6  53.6
49.0  26.1
55.2  18.7
55.5  17.0
52.3  13.6
57.1  13.4
52.1  11.0
63.1  10.8

Crystal structure
a = 10.018 Å, b = 10.018 Å, c = 6.016 Å
α = 97.28°, β = 97.28°, γ = 72.39°
Fractional positions:
Nd1 0.055 0.828 0.966
Nd2 0.139 0.387 0.166
Nd3 0.172 0.945 0.534
Nd4 0.275 0.498 0.699
Nd5 0.387 0.139 0.666
Nd6 0.498 0.275 0.199
Nd7 0.502 0.725 0.801
Nd8 0.613 0.861 0.334
Nd9 0.725 0.502 0.301
Nd10 0.828 0.055 0.466
Nd11 0.861 0.613 0.834
Nd12 0.945 0.172 0.034
Er1 0.356 0.644 0.250
Er2 0.644 0.356 0.750
Tl1 0.018 0.293 0.598
Tl2 0.293 0.018 0.098
Tl3 0.707 0.982 0.902
Tl4 0.982 0.707 0.402

=====

Nd2Er4Tl: simulated XRD peak list (a wavelength of 1.5418 Å), based on a structure optimized by DFT (GGA-PBE).
Intensities are scaled so that the largest is 100.

Top 12 peaks for 2θ = 10–80°, in order of falling intensity:
Position (°2θ)  I/Imax
32.1  100.0
32.8  83.4
35.3  62.0
32.2  53.2
29.7  43.0
36.7  40.0
28.9  30.3
51.9  25.3
27.3  22.5
30.9  20.3
52.7  19.8
28.7  17.6

Crystal structure
a = 6.532 Å, b = 6.271 Å, c = 10.635 Å
α = 90.00°, β = 90.00°, γ = 90.00°
Fractional positions:
Nd1 0.000 0.242 0.043
Nd2 0.000 0.758 0.957
Nd3 0.500 0.242 0.457
Nd4 0.500 0.758 0.543
Er1 0.000 0.070 0.345
Er2 0.000 0.930 0.655
Er3 0.250 0.401 0.750
Er4 0.250 0.599 0.250
Er5 0.500 0.070 0.155
Er6 0.500 0.930 0.845
Er7 0.750 0.401 0.750
Er8 0.750 0.599 0.250
Tl1 0.000 0.500 0.500
Tl2 0.500 0.500 0.000

=====

Nd7ErTl2: simulated XRD peak list (a wavelength of 1.5418 Å), based on a structure optimized by DFT (GGA-PBE).
Intensities are scaled so that the largest is 100.

Top 12 peaks for 2θ = 10–80°, in order of falling intensity:
Position (°2θ)  I/Imax
33.6  100.0
29.1  39.8
33.4  29.9
16.5  29.7
27.6  23.1
44.9  22.2
18.9  19.3
59.8  19.3
19.8  18.2
59.4  16.4
10.9  11.7
37.2  10.7

Crystal structure
a = 9.369 Å, b = 9.369 Å, c = 5.367 Å
α = 90.00°, β = 90.00°, γ = 119.79°
Fractional positions:
Nd1 0.000 0.000 0.000
Nd2 0.200 0.437 0.000
Nd3 0.278 0.722 0.500
Nd4 0.437 0.200 0.000
Nd5 0.563 0.800 0.000
Nd6 0.722 0.278 0.500
Nd7 0.800 0.563 0.000
Er1 0.500 0.500 0.500
Tl1 0.193 0.807 0.000
Tl2 0.807 0.193 0.000

=====

Nd5Er2Tl: simulated XRD peak list (a wavelength of 1.5418 Å), based on a structure optimized by DFT (GGA-PBE).
Intensities are scaled so that the largest is 100.

Top 12 peaks for 2θ = 10–80°, in order of falling intensity:
Position (°2θ)  I/Imax
31.5  100.0
30.8  70.7
32.8  53.5
31.4  51.4
62.4  43.1
46.1  39.7
58.3  29.5
30.0  21.8
56.0  16.7
52.3  13.4
37.6  13.3
76.5  11.3

Crystal structure
a = 8.849 Å, b = 8.849 Å, c = 8.849 Å
α = 157.22°, β = 99.87°, γ = 84.64°
Fractional positions:
Nd1 0.000 0.000 0.000
Nd2 0.102 0.369 0.733
Nd3 0.364 0.631 0.733
Nd4 0.636 0.369 0.267
Nd5 0.898 0.631 0.267
Er1 0.270 0.270 0.000
Er2 0.730 0.730 0.000
Tl1 0.500 0.000 0.500

=====

Nd3Er3Tl2: simulated XRD peak list (a wavelength of 1.5418 Å), based on a structure optimized by DFT (GGA-PBE).
Intensities are scaled so that the largest is 100.

Top 12 peaks for 2θ = 10–80°, in order of falling intensity:
Position (°2θ)  I/Imax
32.7  100.0
28.7  58.9
35.2  47.0
33.0  42.2
30.3  34.1
61.5  16.5
37.0  14.4
47.1  14.2
28.4  14.2
61.7  13.4
39.4  12.1
51.9  11.0

Crystal structure
a = 6.511 Å, b = 6.511 Å, c = 16.642 Å
α = 90.00°, β = 90.00°, γ = 133.83°
Fractional positions:
Nd1 0.047 0.953 0.604
Nd2 0.047 0.953 0.896
Nd3 0.283 0.717 0.750
Nd4 0.717 0.283 0.250
Nd5 0.953 0.047 0.104
Nd6 0.953 0.047 0.396
Er1 0.365 0.635 0.541
Er2 0.365 0.635 0.959
Er3 0.434 0.566 0.250
Er4 0.566 0.434 0.750
Er5 0.635 0.365 0.041
Er6 0.635 0.365 0.459
Tl1 0.236 0.764 0.124
Tl2 0.236 0.764 0.376
Tl3 0.764 0.236 0.624
Tl4 0.764 0.236 0.876

=====

Nd3ErTl: simulated XRD peak list (a wavelength of 1.5418 Å), based on a structure optimized by DFT (GGA-PBE).
Intensities are scaled so that the largest is 100.

Top 12 peaks for 2θ = 10–80°, in order of falling intensity:
Position (°2θ)  I/Imax
31.0  100.0
36.6  32.5
62.4  27.4
51.3  24.0
34.7  18.0
59.9  14.4
64.6  12.0
52.7  11.5
73.3  1.9
77.6  1.8
77.8  1.8
13.7  1.4

Crystal structure
a = 13.149 Å, b = 13.149 Å, c = 4.919 Å
α = 90.00°, β = 90.00°, γ = 158.47°
Fractional positions:
Nd1 0.053 0.947 0.750
Nd2 0.251 0.749 0.750
Nd3 0.445 0.555 0.750
Nd4 0.555 0.445 0.250
Nd5 0.749 0.251 0.250
Nd6 0.947 0.053 0.250
Er1 0.349 0.651 0.250
Er2 0.651 0.349 0.750
Tl1 0.153 0.847 0.250
Tl2 0.847 0.153 0.750

=====

Nd2Er4Tl: simulated XRD peak list (a wavelength of 1.5418 Å), based on a structure optimized by DFT (GGA-PBE).
Intensities are scaled so that the largest is 100.

Top 12 peaks for 2θ = 10–80°, in order of falling intensity:
Position (°2θ)  I/Imax
31.7  100.0
30.5  74.6
32.3  74.5
31.2  64.4
31.3  46.7
33.4  45.4
33.1  39.3
26.8  29.7
34.5  29.6
65.1  27.9
36.3  27.5
34.2  23.4

Crystal structure
a = 5.869 Å, b = 6.652 Å, c = 11.451 Å
α = 90.00°, β = 103.62°, γ = 90.00°
Fractional positions:
Nd1 0.051 0.250 0.476
Nd2 0.338 0.750 0.070
Nd3 0.662 0.250 0.930
Nd4 0.949 0.750 0.524
Er1 0.161 0.008 0.788
Er2 0.161 0.492 0.788
Er3 0.211 0.250 0.069
Er4 0.381 0.750 0.368
Er5 0.619 0.250 0.632
Er6 0.789 0.750 0.931
Er7 0.839 0.508 0.212
Er8 0.839 0.992 0.212
Tl1 0.479 0.250 0.339
Tl2 0.521 0.750 0.661

=====

Nd5Er6Tl: simulated XRD peak list (a wavelength of 1.5418 Å), based on a structure optimized by DFT (GGA-PBE).
Intensities are scaled so that the largest is 100.

Top 12 peaks for 2θ = 10–80°, in order of falling intensity:
Position (°2θ)  I/Imax
30.8  100.0
35.7  33.7
61.2  28.4
51.4  24.0
35.8  16.8
61.3  14.2
64.3  12.3
51.5  12.0
75.9  1.9
75.8  1.9
75.6  1.9
10.6  0.6

Crystal structure
a = 9.399 Å, b = 9.399 Å, c = 9.399 Å
α = 149.07°, β = 115.27°, γ = 73.46°
Fractional positions:
Nd1 0.000 0.000 0.000
Nd2 0.163 0.663 0.500
Nd3 0.332 0.332 0.000
Nd4 0.668 0.668 0.000
Nd5 0.837 0.337 0.500
Er1 0.089 0.835 0.254
Er2 0.255 0.500 0.755
Er3 0.419 0.165 0.254
Er4 0.581 0.835 0.746
Er5 0.745 0.500 0.245
Er6 0.911 0.165 0.746
Tl1 0.500 0.000 0.500

=====

Repeat the twelfth record exactly.
Nd5Er6Tl: simulated XRD peak list (a wavelength of 1.5418 Å), based on a structure optimized by DFT (GGA-PBE).
Intensities are scaled so that the largest is 100.

Top 12 peaks for 2θ = 10–80°, in order of falling intensity:
Position (°2θ)  I/Imax
30.8  100.0
35.7  33.7
61.2  28.4
51.4  24.0
35.8  16.8
61.3  14.2
64.3  12.3
51.5  12.0
75.9  1.9
75.8  1.9
75.6  1.9
10.6  0.6

Crystal structure
a = 9.399 Å, b = 9.399 Å, c = 9.399 Å
α = 149.07°, β = 115.27°, γ = 73.46°
Fractional positions:
Nd1 0.000 0.000 0.000
Nd2 0.163 0.663 0.500
Nd3 0.332 0.332 0.000
Nd4 0.668 0.668 0.000
Nd5 0.837 0.337 0.500
Er1 0.089 0.835 0.254
Er2 0.255 0.500 0.755
Er3 0.419 0.165 0.254
Er4 0.581 0.835 0.746
Er5 0.745 0.500 0.245
Er6 0.911 0.165 0.746
Tl1 0.500 0.000 0.500